1.
The following is a calculated XRD peak list of HfMg6GaO8. It was derived from a cell relaxed with GGA-PBE, using Cu Kα (λ = 1.5418 Å).
No peak broadening, texture or thermal motion is included.

Cell and atoms:
Unit cell a=4.418 b=4.418 c=9.103 alpha=90.00 beta=90.00 gamma=90.00
Positions (direct):
Hf (0.000, 0.000, 0.000)
Mg (0.000, 0.500, 0.264)
Mg (0.000, 0.500, 0.736)
Mg (0.500, 0.000, 0.264)
Mg (0.500, 0.000, 0.736)
Mg (0.500, 0.500, 0.000)
Mg (0.500, 0.500, 0.500)
Ga (0.000, 0.000, 0.500)
O (0.000, 0.000, 0.226)
O (0.000, 0.000, 0.774)
O (0.000, 0.500, 0.000)
O (0.000, 0.500, 0.500)
O (0.500, 0.000, 0.000)
O (0.500, 0.000, 0.500)
O (0.500, 0.500, 0.256)
O (0.500, 0.500, 0.744)

Main lines, most intense first (10 to 80 degrees two-theta):
- 40.85 deg, I = 1000
- 20.10 deg, I = 839
- 34.83 deg, I = 807
- 28.15 deg, I = 760
- 58.20 deg, I = 617
- 39.60 deg, I = 524
- 19.50 deg, I = 466
- 22.37 deg, I = 397
- 28.58 deg, I = 360
- 50.35 deg, I = 312



2.
The following is a calculated XRD peak list of HfMg6GaO8. It was derived from a cell relaxed with GGA-PBE, using Cu Kα (λ = 1.5418 Å).
No peak broadening, texture or thermal motion is included.

Cell and atoms:
Unit cell a=4.387 b=4.387 c=8.974 alpha=90.00 beta=90.00 gamma=90.00
Positions (direct):
Hf (0.000, 0.000, 0.000)
Mg (0.000, 0.000, 0.500)
Mg (0.000, 0.500, 0.263)
Mg (0.000, 0.500, 0.737)
Mg (0.500, 0.000, 0.263)
Mg (0.500, 0.000, 0.737)
Mg (0.500, 0.500, 0.500)
Ga (0.500, 0.500, 0.000)
O (0.000, 0.000, 0.253)
O (0.000, 0.000, 0.747)
O (0.000, 0.500, 0.000)
O (0.000, 0.500, 0.500)
O (0.500, 0.000, 0.000)
O (0.500, 0.000, 0.500)
O (0.500, 0.500, 0.275)
O (0.500, 0.500, 0.725)

Main lines, most intense first (10 to 80 degrees two-theta):
- 41.15 deg, I = 1000
- 35.17 deg, I = 808
- 30.49 deg, I = 639
- 58.88 deg, I = 611
- 40.19 deg, I = 515
- 19.79 deg, I = 459
- 22.56 deg, I = 385
- 28.78 deg, I = 362
- 59.61 deg, I = 305
- 71.15 deg, I = 294



3.
The following is a calculated XRD peak list of HfMnGa2. It was derived from a cell relaxed with GGA-PBE, using Cu Kα (λ = 1.5418 Å).
No peak broadening, texture or thermal motion is included.

Cell and atoms:
Unit cell a=10.056 b=8.438 c=9.008 alpha=90.00 beta=90.00 gamma=90.00
Positions (direct):
Hf (0.050, 0.026, 0.169)
Hf (0.050, 0.474, 0.169)
Hf (0.180, 0.750, 0.663)
Hf (0.320, 0.250, 0.163)
Hf (0.450, 0.526, 0.669)
Hf (0.450, 0.974, 0.669)
Hf (0.550, 0.026, 0.331)
Hf (0.550, 0.474, 0.331)
Hf (0.680, 0.750, 0.837)
Hf (0.820, 0.250, 0.337)
Hf (0.950, 0.526, 0.831)
Hf (0.950, 0.974, 0.831)
Mn (0.000, 0.000, 0.500)
Mn (0.000, 0.500, 0.500)
Mn (0.250, 0.000, 0.422)
Mn (0.250, 0.000, 0.922)
Mn (0.250, 0.500, 0.422)
Mn (0.250, 0.500, 0.922)
Mn (0.500, 0.000, 0.000)
Mn (0.500, 0.500, 0.000)
Mn (0.750, 0.000, 0.078)
Mn (0.750, 0.000, 0.578)
Mn (0.750, 0.500, 0.078)
Mn (0.750, 0.500, 0.578)
Ga (0.095, 0.750, 0.357)
Ga (0.105, 0.250, 0.389)
Ga (0.119, 0.250, 0.934)
Ga (0.128, 0.750, 0.987)
Ga (0.180, 0.079, 0.673)
Ga (0.180, 0.421, 0.673)
Ga (0.320, 0.579, 0.173)
Ga (0.320, 0.921, 0.173)
Ga (0.372, 0.250, 0.487)
Ga (0.381, 0.750, 0.434)
Ga (0.395, 0.750, 0.889)
Ga (0.405, 0.250, 0.857)
Ga (0.595, 0.750, 0.143)
Ga (0.605, 0.250, 0.111)
Ga (0.619, 0.250, 0.566)
Ga (0.628, 0.750, 0.513)
Ga (0.680, 0.079, 0.827)
Ga (0.680, 0.421, 0.827)
Ga (0.820, 0.579, 0.327)
Ga (0.820, 0.921, 0.327)
Ga (0.872, 0.250, 0.013)
Ga (0.881, 0.750, 0.066)
Ga (0.895, 0.750, 0.611)
Ga (0.905, 0.250, 0.643)

Main lines, most intense first (10 to 80 degrees two-theta):
- 37.85 deg, I = 1000
- 39.75 deg, I = 763
- 37.13 deg, I = 644
- 40.33 deg, I = 596
- 42.87 deg, I = 401
- 41.82 deg, I = 383
- 41.07 deg, I = 335
- 37.99 deg, I = 296
- 60.31 deg, I = 241
- 38.79 deg, I = 235



4.
The following is a calculated XRD peak list of Hf3Mn2Ga6. It was derived from a cell relaxed with GGA-PBE, using Cu Kα (λ = 1.5418 Å).
No peak broadening, texture or thermal motion is included.

Cell and atoms:
Unit cell a=5.417 b=8.778 c=7.746 alpha=90.00 beta=90.00 gamma=90.00
Positions (direct):
Hf (0.250, 0.032, 0.155)
Hf (0.250, 0.468, 0.155)
Hf (0.250, 0.750, 0.718)
Hf (0.750, 0.250, 0.282)
Hf (0.750, 0.532, 0.845)
Hf (0.750, 0.968, 0.845)
Mn (0.000, 0.000, 0.500)
Mn (0.000, 0.500, 0.500)
Mn (0.500, 0.000, 0.500)
Mn (0.500, 0.500, 0.500)
Ga (0.011, 0.750, 0.042)
Ga (0.250, 0.064, 0.764)
Ga (0.250, 0.250, 0.438)
Ga (0.250, 0.436, 0.764)
Ga (0.250, 0.750, 0.366)
Ga (0.489, 0.750, 0.042)
Ga (0.511, 0.250, 0.958)
Ga (0.750, 0.250, 0.634)
Ga (0.750, 0.564, 0.236)
Ga (0.750, 0.750, 0.562)
Ga (0.750, 0.936, 0.236)
Ga (0.989, 0.250, 0.958)

Main lines, most intense first (10 to 80 degrees two-theta):
- 40.85 deg, I = 1000
- 40.54 deg, I = 683
- 34.85 deg, I = 594
- 40.65 deg, I = 563
- 38.61 deg, I = 516
- 35.06 deg, I = 482
- 41.13 deg, I = 468
- 28.60 deg, I = 460
- 42.15 deg, I = 456
- 33.07 deg, I = 398



5.
The following is a calculated XRD peak list of Na2HfGaP3O12. It was derived from a cell relaxed with GGA-PBE, using Cu Kα (λ = 1.5418 Å).
No peak broadening, texture or thermal motion is included.

Cell and atoms:
Unit cell a=8.838 b=8.838 c=9.038 alpha=119.28 beta=119.28 gamma=59.49
Positions (direct):
Na (0.004, 0.503, 0.257)
Na (0.113, 0.887, 0.500)
Na (0.503, 0.004, 0.757)
Na (0.887, 0.113, 0.000)
Hf (0.362, 0.852, 0.306)
Hf (0.852, 0.362, 0.806)
Ga (0.150, 0.641, 0.692)
Ga (0.641, 0.150, 0.192)
P (0.035, 0.259, 0.489)
P (0.259, 0.035, 0.989)
P (0.453, 0.536, 0.490)
P (0.536, 0.453, 0.990)
P (0.756, 0.958, 0.497)
P (0.958, 0.756, 0.997)
O (0.005, 0.274, 0.652)
O (0.064, 0.427, 0.514)
O (0.082, 0.214, 0.976)
O (0.125, 0.784, 0.168)
O (0.214, 0.082, 0.476)
O (0.224, 0.871, 0.817)
O (0.274, 0.005, 0.152)
O (0.274, 0.571, 0.512)
O (0.369, 0.484, 0.824)
O (0.425, 0.719, 0.476)
O (0.427, 0.064, 0.014)
O (0.484, 0.369, 0.324)
O (0.510, 0.623, 0.159)
O (0.571, 0.274, 0.012)
O (0.585, 0.934, 0.478)
O (0.623, 0.510, 0.659)
O (0.719, 0.425, 0.976)
O (0.735, 0.989, 0.333)
O (0.781, 0.929, 0.016)
O (0.784, 0.125, 0.668)
O (0.871, 0.224, 0.317)
O (0.929, 0.781, 0.516)
O (0.934, 0.585, 0.978)
O (0.989, 0.735, 0.833)

Main lines, most intense first (10 to 80 degrees two-theta):
- 19.66 deg, I = 1000
- 31.37 deg, I = 759
- 20.09 deg, I = 684
- 14.07 deg, I = 406
- 20.25 deg, I = 391
- 28.37 deg, I = 384
- 35.36 deg, I = 333
- 31.47 deg, I = 321
- 13.97 deg, I = 312
- 23.39 deg, I = 270